Record 1
Simulated powder diffraction line list of AcNpC for CuKα, from DFT lattice parameters and positions (PBE).

Structure:
Cell: 3.3031 3.3031 12.3516 Å, 90.00 90.00 90.00°
Space group I4mm (No. 107)
Symmetry-distinct sites (fractional):
Ac 0.0000 0.0000 0.0000 (multiplicity 2)
Np 0.0000 0.0000 0.2430 (multiplicity 2)
C 0.0000 0.0000 0.6732 (multiplicity 2)

The 12 most intense peaks (10 to 90 degrees two-theta), low angle first:
h k l, d (Å), Rel. int.
1 0 1, 3.191, 100.0
0 0 4, 3.088, 46.2
1 0 3, 2.576, 53.0
1 1 0, 2.336, 46.7
1 0 5, 1.978, 33.6
1 1 4, 1.863, 45.3
2 0 0, 1.652, 16.4
2 1 1, 1.467, 21.5
2 0 4, 1.456, 20.7
2 1 3, 1.390, 16.1
1 1 8, 1.288, 13.6
1 0 9, 1.268, 25.9

Record 2
Simulated powder diffraction line list of Rb3AcC4O12 for CuKα, from DFT lattice parameters and positions (PBE).

Structure:
Cell: 10.8728 10.8728 10.7362 Å, 90.00 90.00 120.00°
Space group R32 (No. 155, hexagonal axes)
Symmetry-distinct sites (fractional):
Rb 0.0000 0.4776 0.0000 (multiplicity 9)
Ac 0.0000 0.0000 0.0000 (multiplicity 3)
C 0.0000 0.0000 0.5000 (multiplicity 3)
C 0.0000 0.5098 0.5000 (multiplicity 9)
O 0.0000 0.6266 0.5000 (multiplicity 9)
O 0.0000 0.8824 0.5000 (multiplicity 9)
O 0.0586 0.2186 0.8647 (multiplicity 18)

The 12 most intense peaks (10 to 90 degrees two-theta), low angle first:
h k l, d (Å), Rel. int.
1 0 1, 7.079, 26.0
1 1 0, 5.436, 12.7
0 1 2, 4.663, 12.6
0 2 1, 4.312, 49.5
2 0 2, 3.540, 100.0
2 2 0, 2.718, 28.2
0 2 4, 2.332, 29.5
4 0 1, 2.299, 18.9
2 2 3, 2.165, 31.2
0 4 2, 2.156, 13.0
2 4 1, 1.756, 16.5
4 2 2, 1.689, 11.1

Record 3
Simulated powder diffraction line list of AcRuCO5 for CuKα, from DFT lattice parameters and positions (PBE).

Structure:
Cell: 6.1533 7.9432 9.3337 Å, 90.00 103.67 90.00°
Space group C2/c (No. 15)
Symmetry-distinct sites (fractional):
Ac 0.0000 0.0000 0.0000 (multiplicity 4)
Ru 0.0000 0.3405 0.2500 (multiplicity 4)
C 0.0000 0.3153 0.7500 (multiplicity 4)
O 0.0000 0.1137 0.2500 (multiplicity 4)
O 0.0997 0.4280 0.8636 (multiplicity 8)
O 0.1482 0.2070 0.7010 (multiplicity 8)

The 12 most intense peaks (10 to 90 degrees two-theta), low angle first:
h k l, d (Å), Rel. int.
1 1 0, 4.777, 48.0
0 2 0, 3.972, 17.8
1 1 -2, 3.650, 99.8
1 1 2, 3.017, 41.5
2 0 0, 2.989, 100.0
1 3 0, 2.421, 36.0
2 2 -2, 2.300, 17.1
0 0 4, 2.267, 19.2
2 0 -4, 2.055, 16.5
2 2 2, 1.966, 22.6
3 1 -2, 1.946, 18.3
1 3 -4, 1.740, 16.3

Record 4
Simulated powder diffraction line list of SrAcCO5 for CuKα, from DFT lattice parameters and positions (PBE).

Structure:
Cell: 6.8294 9.3321 8.1977 Å, 90.00 105.77 90.00°
Space group C2/c (No. 15)
Symmetry-distinct sites (fractional):
Sr 0.0000 0.1428 0.2500 (multiplicity 4)
Ac 0.0000 0.5000 0.0000 (multiplicity 4)
C 0.0000 0.1837 0.7500 (multiplicity 4)
O 0.0000 0.3987 0.2500 (multiplicity 4)
O 0.1207 0.2749 0.6788 (multiplicity 8)
O 0.1218 0.0967 0.8800 (multiplicity 8)

The 12 most intense peaks (10 to 90 degrees two-theta), low angle first:
h k l, d (Å), Rel. int.
1 1 0, 5.373, 76.3
0 2 0, 4.666, 34.8
1 1 -2, 3.582, 100.0
2 0 0, 3.286, 57.8
0 2 2, 3.012, 55.0
1 1 2, 2.888, 40.7
1 3 0, 2.812, 59.2
2 2 0, 2.687, 22.6
3 1 -2, 2.126, 25.7
0 4 2, 2.008, 22.4
2 4 -2, 1.830, 23.7
3 3 0, 1.791, 26.0

Record 5
Simulated powder diffraction line list of Ac3TlC4O12 for CuKα, from DFT lattice parameters and positions (PBE).

Structure:
Cell: 10.4476 10.4476 10.8510 Å, 90.00 90.00 120.00°
Space group R32 (No. 155, hexagonal axes)
Symmetry-distinct sites (fractional):
Ac 0.0000 0.5205 0.0000 (multiplicity 9)
Tl 0.0000 0.0000 0.0000 (multiplicity 3)
C 0.0000 0.0000 0.5000 (multiplicity 3)
C 0.0000 0.4963 0.5000 (multiplicity 9)
O 0.0000 0.6230 0.5000 (multiplicity 9)
O 0.0000 0.8757 0.5000 (multiplicity 9)
O 0.0596 0.4685 0.4081 (multiplicity 18)

The 12 most intense peaks (10 to 90 degrees two-theta), low angle first:
h k l, d (Å), Rel. int.
0 2 1, 4.176, 80.6
0 0 3, 3.617, 20.4
2 0 2, 3.475, 100.0
2 2 0, 2.612, 36.8
0 2 4, 2.327, 28.1
4 0 1, 2.214, 19.4
2 2 3, 2.118, 37.3
0 4 2, 2.088, 16.7
2 0 5, 1.957, 15.7
2 4 1, 1.689, 17.7
4 2 2, 1.631, 15.4
2 2 6, 1.487, 12.3

Record 6
Simulated powder diffraction line list of AcPaCS2 for CuKα, from DFT lattice parameters and positions (PBE).

Structure:
Cell: 4.0288 4.0288 14.9219 Å, 90.00 90.00 90.00°
Space group P4/nmm (No. 129, origin choice 2)
Symmetry-distinct sites (fractional):
Ac 0.2500 0.2500 0.1324 (multiplicity 2)
Pa 0.2500 0.2500 0.5780 (multiplicity 2)
C 0.2500 0.7500 0.5000 (multiplicity 2)
S 0.2500 0.2500 0.3209 (multiplicity 2)
S 0.2500 0.2500 0.9145 (multiplicity 2)

The 12 most intense peaks (10 to 90 degrees two-theta), low angle first:
h k l, d (Å), Rel. int.
0 0 2, 7.461, 14.4
0 0 3, 4.974, 14.5
0 0 4, 3.730, 23.5
1 0 2, 3.545, 100.0
1 1 0, 2.849, 59.6
1 0 5, 2.398, 39.6
1 1 4, 2.264, 28.5
2 0 0, 2.014, 24.1
2 1 2, 1.751, 29.8
1 1 7, 1.707, 17.2
2 1 5, 1.542, 20.5
1 0 9, 1.533, 14.3

Record 7
Simulated powder diffraction line list of Ac3SmPb2C for CuKα, from DFT lattice parameters and positions (PBE).

Structure:
Cell: 5.1184 5.2906 17.6348 Å, 90.00 90.00 90.00°
Space group Immm (No. 71)
Symmetry-distinct sites (fractional):
Ac 0.0000 0.0000 0.0000 (multiplicity 2)
Ac 0.0000 0.5000 0.1627 (multiplicity 4)
Sm 0.0000 0.0000 0.5000 (multiplicity 2)
Pb 0.0000 0.5000 0.3623 (multiplicity 4)
C 0.0000 0.5000 0.0000 (multiplicity 2)

The 12 most intense peaks (10 to 90 degrees two-theta), low angle first:
h k l, d (Å), Rel. int.
1 1 0, 3.679, 23.2
1 1 2, 3.395, 62.1
0 0 6, 2.939, 31.7
1 1 4, 2.825, 100.0
0 2 0, 2.645, 31.5
2 0 0, 2.559, 28.8
0 2 6, 1.966, 18.0
2 0 6, 1.930, 19.3
2 2 0, 1.839, 26.0
1 1 10, 1.590, 17.0
1 3 4, 1.559, 34.8
3 1 4, 1.524, 16.2

Record 8
Simulated powder diffraction line list of Ac3TbPb2C for CuKα, from DFT lattice parameters and positions (PBE).

Structure:
Cell: 5.0436 5.2958 17.6386 Å, 90.00 90.00 90.00°
Space group Immm (No. 71)
Symmetry-distinct sites (fractional):
Ac 0.0000 0.0000 0.0000 (multiplicity 2)
Ac 0.0000 0.5000 0.1620 (multiplicity 4)
Tb 0.0000 0.0000 0.5000 (multiplicity 2)
Pb 0.0000 0.5000 0.3622 (multiplicity 4)
C 0.0000 0.5000 0.0000 (multiplicity 2)

The 12 most intense peaks (10 to 90 degrees two-theta), low angle first:
h k l, d (Å), Rel. int.
1 1 0, 3.652, 21.8
1 1 2, 3.374, 61.1
0 0 6, 2.939, 31.6
1 1 4, 2.813, 100.0
0 2 0, 2.648, 31.5
2 0 0, 2.522, 27.5
0 2 6, 1.967, 18.0
2 0 6, 1.914, 18.7
2 2 0, 1.826, 23.5
1 1 10, 1.588, 17.5
1 3 4, 1.559, 17.7
2 2 6, 1.551, 17.0

Record 9
Simulated powder diffraction line list of AcPmC4 for CuKα, from DFT lattice parameters and positions (PBE).

Structure:
Cell: 7.7584 3.9406 7.6314 Å, 90.00 117.98 90.00°
Space group C2/m (No. 12)
Symmetry-distinct sites (fractional):
Ac 0.0000 0.0000 0.0000 (multiplicity 2)
Pm 0.0000 0.5000 0.5000 (multiplicity 2)
C 0.1934 0.0000 0.7791 (multiplicity 4)
C 0.2052 0.5000 0.3163 (multiplicity 4)

The 12 most intense peaks (10 to 90 degrees two-theta), low angle first:
h k l, d (Å), Rel. int.
2 0 0, 3.425, 56.9
1 1 -1, 3.383, 100.0
0 0 2, 3.370, 49.7
2 0 -2, 3.297, 63.6
1 1 1, 2.795, 95.4
3 1 -1, 2.146, 38.8
1 1 -3, 2.118, 38.9
2 0 2, 1.982, 17.2
0 2 0, 1.970, 17.1
3 1 -3, 1.920, 27.5
1 1 3, 1.702, 30.8
2 2 -2, 1.691, 18.6

Record 10
Simulated powder diffraction line list of Ac3PmC8 for CuKα, from DFT lattice parameters and positions (PBE).

Structure:
Cell: 10.8323 10.8543 8.1099 Å, 90.00 90.00 90.00°
Space group Fmm2 (No. 42)
Symmetry-distinct sites (fractional):
Ac 0.0000 0.0000 0.0000 (multiplicity 4)
Ac 0.2500 0.2500 0.2490 (multiplicity 8)
Pm 0.0000 0.0000 0.5001 (multiplicity 4)
C 0.0000 0.1606 0.2883 (multiplicity 8)
C 0.0000 0.2382 0.8724 (multiplicity 8)
C 0.1605 0.0000 0.7128 (multiplicity 8)
C 0.2381 0.0000 0.1288 (multiplicity 8)

The 12 most intense peaks (10 to 90 degrees two-theta), low angle first:
h k l, d (Å), Rel. int.
2 2 0, 3.834, 64.3
2 0 2, 3.247, 100.0
4 0 0, 2.711, 36.1
2 4 2, 2.081, 63.6
4 4 0, 1.917, 12.2
2 2 4, 1.792, 20.6
6 2 0, 1.714, 15.9
0 4 4, 1.624, 13.2
6 4 2, 1.410, 17.6
4 4 4, 1.393, 7.7
6 2 4, 1.309, 15.1
4 2 6, 1.181, 10.2